No. 1
Diffraction record for RbUHg2Cl6. The PXRD pattern is computed, not measured: it uses DFT lattice parameters and positions (PBE) and copper Kα.
No peak broadening, texture or thermal motion is included.

a b c (Å): 7.5507 7.5507 8.4777
angles (deg): 90.00 90.00 120.00
Sites, in units of the cell vectors:
Rb1 0.0000 0.0000 0.0000
U1 0.0000 0.0000 0.5000
Hg1 0.3333 0.6667 0.1028
Hg2 0.6667 0.3333 0.8972
Cl1 0.1565 0.3130 0.6774
Cl2 0.1565 0.8435 0.6774
Cl3 0.3130 0.1565 0.3226
Cl4 0.6870 0.8435 0.6774
Cl5 0.8435 0.1565 0.3226
Cl6 0.8435 0.6870 0.3226

Peak list (6 most intense, 2θ from 10° to 90°, in order of rising 2θ)
17.13 deg, I 100; 23.57 deg, I 77; 25.04 deg, I 63; 29.28 deg, I 46; 31.74 deg, I 39; 42.32 deg, I 46


No. 2
Diffraction record for Na2Cd5In2. The PXRD pattern is computed, not measured: it uses DFT lattice parameters and positions (PBE) and copper Kα.
No peak broadening, texture or thermal motion is included.

a b c (Å): 9.3147 5.2941 5.2941
angles (deg): 59.74 90.00 90.00
Sites, in units of the cell vectors:
Na1 0.1736 0.0000 0.0000
Na2 0.8264 0.0000 0.0000
Cd1 0.1622 0.6673 0.6673
Cd2 0.3327 0.3301 0.3301
Cd3 0.5000 0.9932 0.9932
Cd4 0.6673 0.3301 0.3301
Cd5 0.8378 0.6673 0.6673
In1 0.0000 0.3339 0.3339
In2 0.5000 0.6609 0.6609

Peak list (6 most intense, 2θ from 10° to 90°, in order of rising 2θ)
33.86 deg, I 69; 34.00 deg, I 34; 34.92 deg, I 100; 49.51 deg, I 23; 61.26 deg, I 24; 70.32 deg, I 22


No. 3
Diffraction record for Na10Hg3Au3. The PXRD pattern is computed, not measured: it uses DFT lattice parameters and positions (PBE) and copper Kα.
No peak broadening, texture or thermal motion is included.

a b c (Å): 8.9977 8.9977 6.0006
angles (deg): 90.00 90.00 120.00
Sites, in units of the cell vectors:
Na1 0.0000 0.2488 0.0000
Na2 0.0000 0.7504 0.5000
Na3 0.2488 0.0000 0.0000
Na4 0.2496 0.2496 0.5000
Na5 0.3333 0.6667 0.2612
Na6 0.3333 0.6667 0.7388
Na7 0.6667 0.3333 0.2612
Na8 0.6667 0.3333 0.7388
Na9 0.7504 0.0000 0.5000
Na10 0.7512 0.7512 0.0000
Hg1 0.0000 0.5958 0.0000
Hg2 0.4042 0.4042 0.0000
Hg3 0.5958 0.0000 0.0000
Au1 0.0000 0.4000 0.5000
Au2 0.4000 0.0000 0.5000
Au3 0.6000 0.6000 0.5000

Peak list (6 most intense, 2θ from 10° to 90°, in order of rising 2θ)
11.36 deg, I 33; 19.73 deg, I 34; 22.82 deg, I 36; 24.73 deg, I 100; 33.91 deg, I 66; 44.56 deg, I 59


No. 4
Diffraction record for LiDyZnAu. The PXRD pattern is computed, not measured: it uses DFT lattice parameters and positions (PBE) and copper Kα.
No peak broadening, texture or thermal motion is included.

a b c (Å): 4.8866 4.8866 4.8866
angles (deg): 124.55 124.55 82.29
Sites, in units of the cell vectors:
Li1 0.0000 0.0000 0.0000
Dy1 0.7500 0.2500 0.5000
Zn1 0.2500 0.7500 0.5000
Au1 0.5000 0.5000 0.0000

Peak list (6 most intense, 2θ from 10° to 90°, in order of rising 2θ)
22.99 deg, I 80; 37.13 deg, I 100; 39.64 deg, I 42; 46.32 deg, I 26; 65.23 deg, I 19; 70.29 deg, I 31


No. 5
Diffraction record for NpVSb3. The PXRD pattern is computed, not measured: it uses DFT lattice parameters and positions (PBE) and copper Kα.
No peak broadening, texture or thermal motion is included.

a b c (Å): 12.5831 6.2794 6.0096
angles (deg): 90.00 90.00 90.00
Sites, in units of the cell vectors:
Np1 0.1920 0.0019 0.2500
Np2 0.1920 0.4981 0.7500
Np3 0.8080 0.5019 0.2500
Np4 0.8080 0.9981 0.7500
V1 0.3967 0.2500 0.0000
V2 0.3967 0.2500 0.5000
V3 0.6033 0.7500 0.0000
V4 0.6033 0.7500 0.5000
Sb1 0.0007 0.2500 0.0000
Sb2 0.0007 0.2500 0.5000
Sb3 0.2672 0.5059 0.2500
Sb4 0.2672 0.9941 0.7500
Sb5 0.4359 0.6036 0.7500
Sb6 0.4359 0.8964 0.2500
Sb7 0.5641 0.1036 0.7500
Sb8 0.5641 0.3964 0.2500
Sb9 0.7328 0.0059 0.2500
Sb10 0.7328 0.4941 0.7500
Sb11 0.9993 0.7500 0.0000
Sb12 0.9993 0.7500 0.5000

Peak list (6 most intense, 2θ from 10° to 90°, in order of rising 2θ)
21.65 deg, I 39; 31.85 deg, I 71; 33.02 deg, I 55; 35.23 deg, I 100; 35.70 deg, I 56; 41.60 deg, I 65


No. 6
Diffraction record for PmPr6Ho3. The PXRD pattern is computed, not measured: it uses DFT lattice parameters and positions (PBE) and copper Kα.
No peak broadening, texture or thermal motion is included.

a b c (Å): 5.6133 10.3489 12.5715
angles (deg): 90.00 101.60 90.00
Sites, in units of the cell vectors:
Pm1 0.0000 0.0000 0.0000
Pm2 0.0000 0.5000 0.5000
Pr1 0.0053 0.1826 0.5028
Pr2 0.0053 0.3174 0.0028
Pr3 0.1102 0.0024 0.2685
Pr4 0.1102 0.4976 0.7685
Pr5 0.4175 0.1730 0.8526
Pr6 0.4175 0.3270 0.3526
Pr7 0.5825 0.6730 0.6474
Pr8 0.5825 0.8270 0.1474
Pr9 0.8898 0.5024 0.2315
Pr10 0.8898 0.9976 0.7315
Pr11 0.9947 0.6826 0.9972
Pr12 0.9947 0.8174 0.4972
Ho1 0.4183 0.6697 0.3648
Ho2 0.4183 0.8303 0.8648
Ho3 0.5000 0.0000 0.5000
Ho4 0.5000 0.5000 0.0000
Ho5 0.5817 0.1697 0.1352
Ho6 0.5817 0.3303 0.6352

Peak list (6 most intense, 2θ from 10° to 90°, in order of rising 2θ)
29.45 deg, I 23; 30.29 deg, I 40; 30.68 deg, I 100; 30.92 deg, I 30; 32.57 deg, I 23; 33.92 deg, I 56